[1]
Sm4TmBi2: calculated PXRD pattern (Cu Kα X-rays), based on a crystal structure in Alexandria, relaxed with GGA-PBE.
No peak broadening, texture or thermal motion is included.

Cell and atoms:
a b c (Å): 9.3429 9.3429 9.3429
angles (deg): 146.42 146.42 48.22
Positions (direct):
Sm 0.0000 0.5000 0.5000
Sm 0.1813 0.1813 0.0000
Sm 0.5000 0.0000 0.5000
Sm 0.8187 0.8187 0.0000
Tm 0.0000 0.0000 0.0000
Bi 0.3655 0.3655 0.0000
Bi 0.6345 0.6345 0.0000

Peak list (10 most intense, 2θ from 10° to 90°, by angle)
8.528 Å, 10.37°, intensity 27; 3.816 Å, 23.31°, intensity 59; 3.483 Å, 25.57°, intensity 40; 2.883 Å, 31.01°, intensity 64; 2.843 Å, 31.46°, intensity 87; 2.698 Å, 33.20°, intensity 100; 1.970 Å, 46.07°, intensity 43; 1.957 Å, 46.40°, intensity 43; 1.908 Å, 47.66°, intensity 37; 1.584 Å, 58.23°, intensity 42

---

[2]
Ca3Y3NpS8: calculated PXRD pattern (Cu Kα X-rays), based on a crystal structure in Alexandria, relaxed with GGA-PBE.
No peak broadening, texture or thermal motion is included.

Cell and atoms:
a b c (Å): 7.9976 7.9976 7.9976
angles (deg): 59.14 59.14 59.14
Positions (direct):
Ca 0.0000 0.5000 0.5000
Ca 0.5000 0.0000 0.5000
Ca 0.5000 0.5000 0.0000
Y 0.0000 0.0000 0.5000
Y 0.0000 0.5000 0.0000
Y 0.5000 0.0000 0.0000
Np 0.5000 0.5000 0.5000
S 0.2466 0.7468 0.7468
S 0.2483 0.2483 0.2483
S 0.2532 0.2532 0.7534
S 0.2532 0.7534 0.2532
S 0.7468 0.2466 0.7468
S 0.7468 0.7468 0.2466
S 0.7517 0.7517 0.7517
S 0.7534 0.2532 0.2532

Peak list (10 most intense, 2θ from 10° to 90°, by angle)
6.572 Å, 13.47°, intensity 48; 6.458 Å, 13.71°, intensity 30; 3.368 Å, 26.47°, intensity 27; 3.229 Å, 27.62°, intensity 23; 2.809 Å, 31.86°, intensity 100; 1.999 Å, 45.37°, intensity 35; 1.973 Å, 45.99°, intensity 34; 1.889 Å, 48.16°, intensity 15; 1.615 Å, 57.04°, intensity 18; 1.263 Å, 75.26°, intensity 15